1.
Diffraction record for CuAg. The X-ray powder pattern is computed, not measured: it uses a crystal structure in OQMD, relaxed with PBE and Cu Kα X-rays.
Kinematic intensities with the Lorentz-polarization factor, no thermal factor.

Atomic structure:
Cell lengths 2.847, 2.847, 18.357 Å; angles 90.00, 90.00, 90.00 degrees
Space group P4mm (No. 99)
One atom of each set of equivalent atoms:
Cu1 0.000 0.000 0.000 (multiplicity 1)
Cu2 0.000 0.000 0.162 (multiplicity 1)
Cu3 0.000 0.000 0.598 (multiplicity 1)
Cu4 0.000 0.000 0.798 (multiplicity 1)
Cu5 0.500 0.500 0.081 (multiplicity 1)
Ag1 0.000 0.000 0.381 (multiplicity 1)
Ag2 0.500 0.500 0.263 (multiplicity 1)
Ag3 0.500 0.500 0.498 (multiplicity 1)
Ag4 0.500 0.500 0.698 (multiplicity 1)
Ag5 0.500 0.500 0.899 (multiplicity 1)

Largest 6 diffraction maxima, low angle first, 10° ≤ 2θ ≤ 90°:
2theta, I/Imax, h k l
37.16, 12.6, 1 0 4
40.07, 100.0, 1 0 5
45.03, 43.2, 1 1 0
65.57, 13.1, 2 0 0
69.26, 9.6, 1 1 10
79.70, 24.0, 2 1 5


2.
Diffraction record for BaNd2In2S7. The X-ray powder pattern is computed, not measured: it uses a crystal structure in OQMD, relaxed with PBE and Cu Kα X-rays.
Kinematic intensities with the Lorentz-polarization factor, no thermal factor.

Atomic structure:
Cell lengths 11.683, 12.456, 4.030 Å; angles 90.00, 90.00, 90.00 degrees
Space group Pbam (No. 55)
One atom of each set of equivalent atoms:
Ba1 0.000 0.000 0.000 (multiplicity 2)
Nd1 0.117 0.357 0.000 (multiplicity 4)
In1 0.208 0.623 0.500 (multiplicity 4)
S1 0.000 0.500 0.500 (multiplicity 2)
S2 0.087 0.198 0.500 (multiplicity 4)
S3 0.136 0.719 0.000 (multiplicity 4)
S4 0.216 0.937 0.500 (multiplicity 4)

Largest 6 diffraction maxima, low angle first, 10° ≤ 2θ ≤ 90°:
2theta, I/Imax, h k l
22.73, 56.5, 1 3 0
23.94, 44.8, 3 1 0
26.88, 46.9, 2 0 1
27.44, 100.0, 1 2 1
31.88, 72.4, 1 3 1
45.49, 62.3, 5 1 1